(1)
Computed X-ray diffraction stick pattern of KSmHf2O6 for CuKα, from a DFT-relaxed cell (PBE, the Materials Project).
Neutral-atom scattering factors, no anomalous dispersion.

The 10 most intense peaks (10 to 90 degrees two-theta), by angle:
18.7 deg, d 4.752, rel. 10.0
21.6 deg, d 4.115, rel. 17.6
30.7 deg, d 2.910, rel. 100.0
44.0 deg, d 2.058, rel. 29.2
49.5 deg, d 1.840, rel. 7.8
54.6 deg, d 1.680, rel. 40.5
64.0 deg, d 1.455, rel. 18.2
72.7 deg, d 1.301, rel. 17.5
80.9 deg, d 1.188, rel. 6.1
89.0 deg, d 1.100, rel. 21.7

Structural model:
a b c (Å): 5.8199 5.8199 5.8199
angles (deg): 60.00 60.00 60.00
Sites, in units of the cell vectors:
1 K 0.0000 0.0000 0.0000
2 Sm 0.5000 0.5000 0.5000
3 Hf 0.2500 0.2500 0.2500
4 Hf 0.7500 0.7500 0.7500
5 O 0.0000 0.0000 0.5000
6 O 0.0000 0.5000 0.0000
7 O 0.0000 0.5000 0.5000
8 O 0.5000 0.0000 0.0000
9 O 0.5000 0.0000 0.5000
10 O 0.5000 0.5000 0.0000

(2)
Computed X-ray diffraction stick pattern of KSmHf4O12 for CuKα, from a DFT-relaxed cell (PBE, the Materials Project).
Neutral-atom scattering factors, no anomalous dispersion.

The 10 most intense peaks (10 to 90 degrees two-theta), by angle:
18.7 deg, d 4.733, rel. 19.5
21.6 deg, d 4.118, rel. 60.0
21.9 deg, d 4.062, rel. 28.5
30.7 deg, d 2.912, rel. 48.9
30.9 deg, d 2.892, rel. 100.0
44.0 deg, d 2.059, rel. 30.0
44.6 deg, d 2.031, rel. 14.6
54.7 deg, d 1.677, rel. 42.5
55.1 deg, d 1.666, rel. 19.9
64.4 deg, d 1.446, rel. 17.1

Structural model:
a b c (Å): 8.2399 5.7829 5.7829
angles (deg): 89.25 90.00 90.00
Sites, in units of the cell vectors:
1 K 0.0000 0.0000 0.0000
2 Sm 0.5000 0.5437 0.5437
3 Hf 0.2458 0.0288 0.5122
4 Hf 0.2458 0.5122 0.0288
5 Hf 0.7542 0.0288 0.5122
6 Hf 0.7542 0.5122 0.0288
7 O 0.0000 0.0374 0.4951
8 O 0.0000 0.4951 0.0374
9 O 0.2544 0.7429 0.7429
10 O 0.2688 0.2546 0.7845
11 O 0.2688 0.7845 0.2546
12 O 0.3091 0.3120 0.3120
13 O 0.5000 0.5347 0.9547
14 O 0.5000 0.9547 0.5347
15 O 0.6909 0.3120 0.3120
16 O 0.7312 0.2546 0.7845
17 O 0.7312 0.7845 0.2546
18 O 0.7456 0.7429 0.7429